Diffraction record for Ba2CoPtO5. The powder X-ray diffraction pattern is theoretical, not measured: it uses a DFT-relaxed cell (PBE+U, Alexandria) and Cu Kα X-rays.
Kinematic intensities with the Lorentz-polarization factor, no thermal factor.

Atomic structure:
Lattice parameters (Å, degrees): 3.4436 15.6702 10.5428 90.00 90.00 90.00
Space group Cmc2_1 (No. 36)
Inequivalent atoms, fractional coordinates:
Ba (0.0000, 0.1158, 0.0000)
Ba (0.0000, 0.1263, 0.6138)
Co (0.0000, 0.4427, 0.7647)
Pt (0.0000, 0.2147, 0.3248)
O (0.0000, 0.0820, 0.3435)
O (0.0000, 0.2823, 0.9431)
O (0.0000, 0.3012, 0.7070)
O (0.0000, 0.3468, 0.3103)
O (0.0000, 0.4956, 0.6057)

Most intense lines, 10° ≤ 2θ ≤ 90°, low angle first:
2θ/deg  d/Å  I (rel.)
27.83  3.206  98
28.38  3.144  61
32.27  2.774  59
35.41  2.535  53
37.00  2.430  100
42.61  2.122  54